Structure and calculated powder XRD pattern of Mg3Sc4Sn (a cell relaxed with PBE; Cu Ka).
Neutral-atom scattering factors, no anomalous dispersion.

Peak list (6 most intense, 10 to 80 degrees two-theta, low angle first)
- 10.73 deg, intensity 15.8
- 20.69 deg, intensity 12.6
- 21.60 deg, intensity 14.8
- 35.63 deg, intensity 100.0
- 51.28 deg, intensity 16.8
- 64.04 deg, intensity 25.1

Atomic structure:
```
Mg3Sc4Sn
1.0
2.5171 1.4532 8.2450
-2.5171 1.4532 8.2450
0.0000 -2.9065 8.2450
Mg Sc Sn
3 4 1
direct
0.0000 0.0000 0.0000
0.2539 0.2539 0.2539
0.7461 0.7461 0.7461
0.1250 0.1250 0.1250
0.3755 0.3755 0.3755
0.6245 0.6245 0.6245
0.8750 0.8750 0.8750
0.5000 0.5000 0.5000
```